Computed X-ray powder pattern
Compound: Cs2NaSbI6
Radiation: Cu Ka
Structure: a cell relaxed with GGA-PBE

Structure:
```
data_Cs2NaSbI6
_chemical_formula_sum 'Cs8 Na4 Sb4 I24'
_cell_length_a 12.4041
_cell_length_b 12.4041
_cell_length_c 12.4041
_cell_angle_alpha 90.00
_cell_angle_beta 90.00
_cell_angle_gamma 90.00
_symmetry_space_group_name_H-M 'F m -3 m'
_symmetry_Int_Tables_number 225
_symmetry_space_group_name_Hall '-F 4 2 3'
loop_
_atom_site_label
_atom_site_fract_x
_atom_site_fract_y
_atom_site_fract_z
_atom_site_occupancy
Cs1 0.2500 0.2500 0.2500 1
Na1 0.0000 0.0000 0.0000 1
Sb1 0.0000 0.0000 0.5000 1
I1 0.0000 0.0000 0.2556 1
```

Main lines, in order of rising 2θ (2θ from 15° to 90°):
hkl, 2theta, Rel. int.
2 2 2, 24.9, 100
4 0 0, 28.8, 92
4 4 0, 41.2, 69
6 2 2, 48.7, 47
4 4 4, 51.0, 24
8 0 0, 59.6, 11
6 6 2, 65.6, 19
8 4 0, 67.5, 31
8 4 4, 75.0, 23
10 2 2, 80.5, 14


Computed X-ray powder pattern
Compound: Li3CuPO5
Radiation: Cu Ka
Structure: a cell relaxed with GGA-PBE

Structure:
```
data_Li3CuPO5
_chemical_formula_sum 'Li12 Cu4 P4 O20'
_cell_length_a 5.3538
_cell_length_b 15.7870
_cell_length_c 5.0282
_cell_angle_alpha 90.00
_cell_angle_beta 90.00
_cell_angle_gamma 90.00
_symmetry_space_group_name_H-M 'P n a 21'
_symmetry_Int_Tables_number 33
_symmetry_space_group_name_Hall 'P 2c -2n'
loop_
_atom_site_label
_atom_site_fract_x
_atom_site_fract_y
_atom_site_fract_z
_atom_site_occupancy
Li1 0.1633 0.0963 0.0000 1
Li2 0.1667 0.6997 0.9958 1
Li3 0.1704 0.5020 0.9992 1
Cu1 0.1657 0.2939 0.0069 1
P1 0.1640 0.9022 0.9955 1
O1 0.1092 0.0988 0.5982 1
O2 0.1642 0.6964 0.6072 1
O3 0.1677 0.9044 0.6839 1
O4 0.1912 0.4811 0.6016 1
O5 0.2007 0.3193 0.5901 1
```

Main lines, in order of rising 2θ (2θ from 15° to 90°):
hkl, 2theta, Rel. int.
0 1 1, 18.5, 41
1 2 0, 20.0, 86
0 3 1, 24.5, 100
1 2 1, 26.8, 29
1 5 0, 32.9, 60
2 0 0, 33.5, 29
0 0 2, 35.7, 56
1 5 1, 37.6, 50
2 0 1, 38.1, 29
3 5 0, 59.5, 32


Computed X-ray powder pattern
Compound: RbCaI3
Radiation: Cu Ka
Structure: a cell relaxed with GGA-PBE

Structure:
```
data_RbCaI3
_chemical_formula_sum 'Rb4 Ca4 I12'
_cell_length_a 10.5091
_cell_length_b 4.7331
_cell_length_c 17.6706
_cell_angle_alpha 90.00
_cell_angle_beta 90.00
_cell_angle_gamma 90.00
_symmetry_space_group_name_H-M 'P n m a'
_symmetry_Int_Tables_number 62
_symmetry_space_group_name_Hall '-P 2ac 2n'
loop_
_atom_site_label
_atom_site_fract_x
_atom_site_fract_y
_atom_site_fract_z
_atom_site_occupancy
Rb1 0.0790 0.2500 0.1734 1
Ca1 0.1632 0.7500 0.4415 1
I1 0.0273 0.7500 0.6040 1
I2 0.1668 0.7500 0.0040 1
I3 0.2056 0.2500 0.7866 1
```

Main lines, in order of rising 2θ (2θ from 15° to 90°):
hkl, 2theta, Rel. int.
0 1 3, 24.1, 20
1 1 3, 25.6, 70
2 1 1, 25.9, 100
2 0 4, 26.4, 42
1 0 5, 26.6, 50
2 1 2, 27.3, 95
0 1 5, 31.6, 23
0 2 0, 38.0, 33
1 1 7, 41.4, 25
1 2 5, 47.0, 21


Computed X-ray powder pattern
Compound: NdTa3O9
Radiation: Cu Ka
Structure: a cell relaxed with GGA-PBE

Structure:
```
data_NdTa3O9
_chemical_formula_sum 'Nd4 Ta12 O36'
_cell_length_a 5.5737
_cell_length_b 9.6908
_cell_length_c 13.6839
_cell_angle_alpha 90.30
_cell_angle_beta 90.28
_cell_angle_gamma 90.20
_symmetry_space_group_name_H-M 'P -1'
_symmetry_Int_Tables_number 2
_symmetry_space_group_name_Hall '-P 1'
loop_
_atom_site_label
_atom_site_fract_x
_atom_site_fract_y
_atom_site_fract_z
_atom_site_occupancy
Nd1 0.2373 0.4212 0.4213 1
Nd2 0.2407 0.0848 0.0836 1
Ta1 0.2491 0.0833 0.8273 1
Ta2 0.2494 0.4126 0.6742 1
Ta3 0.2498 0.7381 0.0010 1
Ta4 0.2498 0.7630 0.4981 1
Ta5 0.2519 0.0842 0.3342 1
Ta6 0.2525 0.4199 0.1660 1
O1 0.0001 0.3275 0.5861 1
O2 0.0007 0.8492 0.0749 1
O3 0.0080 0.3404 0.0758 1
O4 0.0082 0.9873 0.2525 1
O5 0.0099 0.1821 0.4146 1
O6 0.0106 0.4910 0.2597 1
O7 0.2036 0.5671 0.5669 1
O8 0.2098 0.9129 0.9127 1
O9 0.2263 0.2368 0.2370 1
O10 0.2769 0.2594 0.7603 1
O11 0.2781 0.5911 0.0936 1
O12 0.2789 0.9271 0.4240 1
O13 0.4872 0.0057 0.2397 1
O14 0.4873 0.3173 0.0838 1
O15 0.4892 0.1999 0.4074 1
O16 0.4888 0.4758 0.2690 1
O17 0.4993 0.8694 0.0649 1
O18 0.5002 0.3554 0.5723 1
```

Main lines, in order of rising 2θ (2θ from 15° to 90°):
hkl, 2theta, Rel. int.
-1 1 2, 22.5, 62
1 1 2, 22.6, 30
1 1 -4, 32.0, 51
1 -1 4, 32.1, 100
-2 2 4, 45.9, 16
2 2 4, 46.2, 15
2 0 -6, 51.6, 18
2 4 -4, 57.0, 21
3 1 -4, 57.1, 20
3 -1 4, 57.3, 20


Computed X-ray powder pattern
Compound: Sr4LiSm2Ta2O12
Radiation: Cu Ka
Structure: a cell relaxed with GGA-PBE

Structure:
```
data_Sr4LiSm2Ta2O12
_chemical_formula_sum 'Sr4 Li1 Sm2 Ta2 O12'
_cell_length_a 5.8455
_cell_length_b 6.1752
_cell_length_c 8.4270
_cell_angle_alpha 88.98
_cell_angle_beta 89.45
_cell_angle_gamma 89.31
_symmetry_space_group_name_H-M 'P 1'
_symmetry_Int_Tables_number 1
_symmetry_space_group_name_Hall 'P 1'
loop_
_atom_site_label
_atom_site_fract_x
_atom_site_fract_y
_atom_site_fract_z
_atom_site_occupancy
Sr1 0.0000 0.0000 0.0000 1
Sr2 0.0428 0.1469 0.5284 1
Sr3 0.5150 0.6494 0.5282 1
Sr4 0.5681 0.5516 0.0284 1
Li1 0.1786 0.3293 0.1168 1
Sm1 0.0308 0.5827 0.7754 1
Sm2 0.5450 0.1026 0.2788 1
Ta1 0.0313 0.6159 0.2895 1
Ta2 0.5197 0.0978 0.7758 1
O1 0.1238 0.6171 0.0465 1
O2 0.2212 0.8704 0.3328 1
O3 0.2449 0.9044 0.7398 1
O4 0.3134 0.4107 0.3161 1
O5 0.3366 0.3641 0.7144 1
O6 0.4113 0.1497 0.0125 1
O7 0.6162 0.0635 0.5465 1
O8 0.7094 0.8232 0.8298 1
O9 0.7526 0.7885 0.2307 1
O10 0.7980 0.2829 0.8214 1
O11 0.8679 0.3193 0.2218 1
O12 0.9333 0.5660 0.5112 1
```

Main lines, in order of rising 2θ (2θ from 15° to 90°):
hkl, 2theta, Rel. int.
1 1 0, 20.8, 22
1 -1 0, 21.1, 36
0 2 0, 28.9, 44
1 1 2, 29.5, 46
-1 1 2, 29.9, 47
1 -1 2, 30.1, 100
2 0 0, 30.6, 48
2 2 0, 42.3, 22
0 0 4, 42.9, 46
3 -1 2, 54.0, 21


Computed X-ray powder pattern
Compound: CaNb2Te4Cl10O
Radiation: Cu Ka
Structure: a cell relaxed with GGA-PBE

Structure:
```
data_CaNb2Te4Cl10O
_chemical_formula_sum 'Ca1 Nb2 Te4 Cl10 O1'
_cell_length_a 7.1418
_cell_length_b 9.1030
_cell_length_c 9.5125
_cell_angle_alpha 81.32
_cell_angle_beta 89.38
_cell_angle_gamma 76.97
_symmetry_space_group_name_H-M 'P 1'
_symmetry_Int_Tables_number 1
_symmetry_space_group_name_Hall 'P 1'
loop_
_atom_site_label
_atom_site_fract_x
_atom_site_fract_y
_atom_site_fract_z
_atom_site_occupancy
Ca1 0.0000 0.0000 0.0000 1
Nb1 0.8295 0.0155 0.3997 1
Nb2 0.8573 0.3040 0.6486 1
Te1 0.2011 0.7080 0.8308 1
Te2 0.2480 0.4575 0.0438 1
Te3 0.4673 0.8186 0.9799 1
Te4 0.5407 0.5497 0.1718 1
Cl1 0.0333 0.4322 0.4874 1
Cl2 0.1423 0.8626 0.4400 1
Cl3 0.1621 0.1219 0.7579 1
Cl4 0.5290 0.1665 0.2993 1
Cl5 0.5557 0.4451 0.5737 1
Cl6 0.6878 0.8495 0.5508 1
Cl7 0.6940 0.1468 0.8353 1
Cl8 0.8117 0.8442 0.1949 1
Cl9 0.8908 0.4598 0.8281 1
Cl10 0.9805 0.1744 0.2035 1
O1 0.8509 0.1491 0.5253 1
```

Main lines, in order of rising 2θ (2θ from 15° to 90°):
hkl, 2theta, Rel. int.
1 0 -1, 15.7, 100
1 -1 0, 18.0, 38
-1 1 1, 19.4, 60
0 1 2, 20.0, 37
-1 1 2, 24.8, 37
1 2 -2, 30.5, 80
1 2 3, 33.5, 47
3 1 0, 37.8, 28
1 3 3, 38.9, 45
2 0 3, 39.2, 26


Computed X-ray powder pattern
Compound: KBO2
Radiation: Cu Ka
Structure: a cell relaxed with GGA-PBE

Structure:
```
data_KBO2
_chemical_formula_sum 'K18 B18 O36'
_cell_length_a 12.8887
_cell_length_b 12.8887
_cell_length_c 7.5240
_cell_angle_alpha 90.00
_cell_angle_beta 90.00
_cell_angle_gamma 120.00
_symmetry_space_group_name_H-M 'R -3 c'
_symmetry_Int_Tables_number 167
_symmetry_space_group_name_Hall '-R 3 2"c'
loop_
_atom_site_label
_atom_site_fract_x
_atom_site_fract_y
_atom_site_fract_z
_atom_site_occupancy
K1 0.0000 0.4400 0.2500 1
B1 0.0000 0.1129 0.2500 1
O1 0.0000 0.1081 0.7500 1
O2 0.0000 0.2157 0.2500 1
```

Main lines, in order of rising 2θ (2θ from 15° to 90°):
hkl, 2theta, Rel. int.
0 1 2, 25.0, 30
2 0 2, 28.6, 96
1 3 1, 31.2, 100
3 2 1, 37.1, 23
3 1 2, 37.6, 23
1 1 3, 38.5, 35
3 3 0, 42.1, 29
2 4 1, 44.6, 20
0 2 4, 51.2, 24
4 1 3, 52.4, 24


Computed X-ray powder pattern
Compound: LaMg14Fe
Radiation: Cu Ka
Structure: a cell relaxed with GGA-PBE

Structure:
```
data_LaMg14Fe
_chemical_formula_sum 'La2 Mg28 Fe2'
_cell_length_a 10.3736
_cell_length_b 6.0445
_cell_length_c 11.5809
_cell_angle_alpha 90.00
_cell_angle_beta 90.00
_cell_angle_gamma 90.00
_symmetry_space_group_name_H-M 'A m m 2'
_symmetry_Int_Tables_number 38
_symmetry_space_group_name_Hall 'A 2 -2'
loop_
_atom_site_label
_atom_site_fract_x
_atom_site_fract_y
_atom_site_fract_z
_atom_site_occupancy
La1 0.0000 0.0000 0.0000 1
Mg1 0.0000 0.2404 0.2536 1
Mg2 0.2184 0.0000 0.6312 1
Mg3 0.2507 0.2437 0.3953 1
Mg4 0.2664 0.0000 0.1493 1
Mg5 0.5000 0.0000 0.4883 1
Mg6 0.5000 0.0000 0.9829 1
Mg7 0.5000 0.2462 0.7370 1
Fe1 0.0000 0.0000 0.4742 1
```

Main lines, in order of rising 2θ (2θ from 15° to 90°):
hkl, 2theta, Rel. int.
0 0 2, 15.3, 25
1 0 2, 17.5, 34
1 2 0, 30.8, 21
0 2 2, 33.4, 40
4 0 0, 34.6, 58
2 0 4, 35.5, 76
2 2 2, 37.8, 100
4 2 2, 48.9, 26
0 2 6, 56.6, 21
2 4 4, 72.9, 22


Computed X-ray powder pattern
Compound: Hf9PW4
Radiation: Cu Ka
Structure: a cell relaxed with GGA-PBE

Structure:
```
data_Hf9PW4
_chemical_formula_sum 'Hf36 P4 W16'
_cell_length_a 8.6562
_cell_length_b 15.0154
_cell_length_c 8.6612
_cell_angle_alpha 90.00
_cell_angle_beta 90.00
_cell_angle_gamma 90.00
_symmetry_space_group_name_H-M 'C m c m'
_symmetry_Int_Tables_number 63
_symmetry_space_group_name_Hall '-C 2c 2'
loop_
_atom_site_label
_atom_site_fract_x
_atom_site_fract_y
_atom_site_fract_z
_atom_site_occupancy
Hf1 0.0000 0.0392 0.2500 1
Hf2 0.0000 0.3029 0.5487 1
Hf3 0.1911 0.2304 0.2500 1
Hf4 0.2047 0.0985 0.5486 1
P1 0.0000 0.1667 0.7500 1
W1 0.0000 0.3894 0.2500 1
W2 0.0000 0.5000 0.0000 1
W3 0.1658 0.4447 0.7500 1
```

Main lines, in order of rising 2θ (2θ from 15° to 90°):
hkl, 2theta, Rel. int.
2 2 2, 31.6, 33
1 1 3, 33.3, 23
0 6 0, 35.9, 17
3 3 1, 37.4, 65
2 4 2, 37.9, 100
2 2 3, 39.4, 39
0 0 4, 41.7, 44
2 8 3, 62.9, 25
3 3 5, 65.6, 27
5 5 2, 65.9, 24